Simulated XRD peak list
Compound: PrPuInO6
Radiation: CuKα
Structure: a structure optimized by DFT (GGA-PBE)
No peak broadening, texture or thermal motion is included.

Peak list (10 most intense, 10° ≤ 2θ ≤ 80°, most intense first)
3.528 Å, I 100, hkl 1 0 2; 2.788 Å, I 52, hkl 1 1 0; 1.895 Å, I 50, hkl 1 1 4; 2.188 Å, I 27, hkl 2 0 2; 1.721 Å, I 27, hkl 2 1 2; 5.168 Å, I 21, hkl 0 0 2; 2.454 Å, I 18, hkl 1 1 2; 4.375 Å, I 18, hkl 1 0 1; 1.610 Å, I 17, hkl 3 0 0; 1.227 Å, I 12, hkl 4 -2 4

Structure:
Cell lengths 5.5764, 5.5764, 10.3359 Å; angles 90.00, 90.00, 120.00 degrees
Space group P-31c (No. 163)
Symmetry-distinct sites (fractional):
Pr 0.0000 0.0000 0.0000 (multiplicity 2)
Pu 0.3333 0.6667 0.2500 (multiplicity 2)
In 0.3333 0.6667 0.7500 (multiplicity 2)
O 0.0168 0.3614 0.1382 (multiplicity 12)

=====

Simulated XRD peak list
Compound: Pr12ErIn3
Radiation: CuKα
Structure: a structure optimized by DFT (GGA-PBE)
No peak broadening, texture or thermal motion is included.

Peak list (10 most intense, 10° ≤ 2θ ≤ 80°, most intense first)
2.924 Å, I 100, hkl 1 1 4; 2.519 Å, I 33, hkl 2 0 0; 1.521 Å, I 28, hkl 3 1 4; 1.795 Å, I 23, hkl 2 0 8; 2.560 Å, I 17, hkl 0 0 8; 1.539 Å, I 14, hkl 1 1 12; 1.462 Å, I 12, hkl 2 2 8; 1.781 Å, I 12, hkl 2 2 0; 1.259 Å, I 4, hkl 4 0 0; 1.280 Å, I 2, hkl 0 0 16

Structure:
Cell lengths 5.038, 5.038, 20.478 Å; angles 90.00, 90.00, 90.00 degrees
Space group P4/mmm (No. 123)
Symmetry-distinct sites (fractional):
Pr 0.000 0.000 0.000 (multiplicity 1)
Pr 0.000 0.000 0.246 (multiplicity 2)
Pr 0.000 0.000 0.500 (multiplicity 1)
Pr 0.000 0.500 0.123 (multiplicity 4)
Pr 0.000 0.500 0.370 (multiplicity 4)
Er 0.500 0.500 0.500 (multiplicity 1)
In 0.500 0.500 0.000 (multiplicity 1)
In 0.500 0.500 0.245 (multiplicity 2)

=====

Simulated XRD peak list
Compound: CoSi2Hg
Radiation: CuKα
Structure: a structure optimized by DFT (GGA-PBE)
No peak broadening, texture or thermal motion is included.

Peak list (10 most intense, 10° ≤ 2θ ≤ 80°, most intense first)
3.604 Å, I 100, hkl 0 1 1; 2.090 Å, I 81, hkl 1 1 2; 6.425 Å, I 59, hkl 0 0 2; 2.305 Å, I 50, hkl 1 0 3; 2.823 Å, I 48, hkl 0 1 3; 3.213 Å, I 39, hkl 0 0 4; 2.674 Å, I 32, hkl 1 0 1; 2.121 Å, I 30, hkl 0 1 5; 1.537 Å, I 29, hkl 1 1 6; 1.821 Å, I 28, hkl 1 1 4

Structure:
Cell lengths 2.734, 3.755, 12.850 Å; angles 90.00, 90.00, 90.00 degrees
Space group Imm2 (No. 44)
Symmetry-distinct sites (fractional):
Co 0.000 0.000 0.000 (multiplicity 2)
Si 0.000 0.000 0.513 (multiplicity 2)
Si 0.000 0.500 0.652 (multiplicity 2)
Hg 0.000 0.500 0.309 (multiplicity 2)

=====

Simulated XRD peak list
Compound: Tb2DyHo6Tm
Radiation: CuKα
Structure: a structure optimized by DFT (GGA-PBE)
No peak broadening, texture or thermal motion is included.

Peak list (10 most intense, 10° ≤ 2θ ≤ 80°, most intense first)
2.800 Å, I 100, hkl 2 2 2; 2.883 Å, I 59, hkl 3 1 -1; 2.627 Å, I 56, hkl 1 3 -3; 2.825 Å, I 48, hkl 1 5 0; 2.890 Å, I 45, hkl 0 2 3; 3.084 Å, I 38, hkl 1 3 2; 2.740 Å, I 19, hkl 1 5 -1; 2.328 Å, I 17, hkl 3 1 2; 3.150 Å, I 16, hkl 2 2 -2; 2.577 Å, I 15, hkl 2 2 -3

Structure:
Cell lengths 8.953, 14.904, 9.497 Å; angles 90.00, 98.01, 90.00 degrees
Space group C2/c (No. 15)
Symmetry-distinct sites (fractional):
Tb 0.249 0.052 0.044 (multiplicity 8)
Dy 0.000 0.022 0.750 (multiplicity 4)
Ho 0.062 0.188 0.444 (multiplicity 8)
Ho 0.103 0.393 0.620 (multiplicity 8)
Ho 0.205 0.224 0.814 (multiplicity 8)
Tm 0.000 0.409 0.250 (multiplicity 4)

=====

Simulated XRD peak list
Compound: LaFe7B3
Radiation: CuKα
Structure: a structure optimized by DFT (GGA-PBE)
No peak broadening, texture or thermal motion is included.

Peak list (10 most intense, 10° ≤ 2θ ≤ 80°, most intense first)
1.984 Å, I 100, hkl 2 1 4; 2.212 Å, I 63, hkl 0 1 8; 2.471 Å, I 60, hkl 0 2 4; 2.166 Å, I 47, hkl 2 1 1; 1.895 Å, I 38, hkl 1 2 5; 3.194 Å, I 30, hkl 0 0 6; 3.330 Å, I 27, hkl 1 1 0; 1.259 Å, I 26, hkl 4 1 0; 1.794 Å, I 23, hkl 1 1 9; 1.440 Å, I 22, hkl 1 1 12

Structure:
Cell lengths 6.6600, 6.6600, 19.1616 Å; angles 90.00, 90.00, 120.00 degrees
Space group R-3c (No. 167, hexagonal axes)
Symmetry-distinct sites (fractional):
La 0.0000 0.0000 0.0000 (multiplicity 6)
Fe 0.0000 0.0000 0.2500 (multiplicity 6)
Fe 0.0144 0.2242 0.1393 (multiplicity 36)
B 0.0000 0.3160 0.2500 (multiplicity 18)

=====

Simulated XRD peak list
Compound: CdPtC6N6
Radiation: CuKα
Structure: a structure optimized by DFT (GGA-PBE)
No peak broadening, texture or thermal motion is included.

Peak list (10 most intense, 10° ≤ 2θ ≤ 80°, most intense first)
5.526 Å, I 100, hkl 2 0 0; 3.907 Å, I 47, hkl 2 2 0; 2.471 Å, I 41, hkl 4 2 0; 2.763 Å, I 23, hkl 4 0 0; 1.842 Å, I 20, hkl 6 0 0; 2.256 Å, I 18, hkl 4 2 2; 1.747 Å, I 14, hkl 6 2 0; 1.477 Å, I 13, hkl 6 4 2; 1.954 Å, I 13, hkl 4 4 0; 1.533 Å, I 11, hkl 6 4 0

Structure:
Cell lengths 11.052, 11.052, 11.052 Å; angles 90.00, 90.00, 90.00 degrees
Space group Fm-3m (No. 225)
Symmetry-distinct sites (fractional):
Cd 0.000 0.000 0.000 (multiplicity 4)
Pt 0.000 0.000 0.500 (multiplicity 4)
C 0.000 0.000 0.317 (multiplicity 24)
N 0.000 0.000 0.212 (multiplicity 24)

=====

Simulated XRD peak list
Compound: Ac7Sn4F
Radiation: CuKα
Structure: a structure optimized by DFT (GGA-PBE)
No peak broadening, texture or thermal motion is included.

Peak list (10 most intense, 10° ≤ 2θ ≤ 80°, most intense first)
2.863 Å, I 100, hkl 3 1 1; 2.791 Å, I 50, hkl 0 2 0; 3.947 Å, I 30, hkl 1 1 -2; 1.626 Å, I 28, hkl 3 3 1; 4.158 Å, I 19, hkl 4 0 -1; 1.974 Å, I 18, hkl 2 2 -4; 1.668 Å, I 15, hkl 8 2 -2; 2.319 Å, I 12, hkl 4 2 -1; 2.079 Å, I 10, hkl 8 0 -2; 1.623 Å, I 9, hkl 1 1 5

Structure:
Cell lengths 17.562, 5.584, 11.924 Å; angles 90.00, 129.13, 90.00 degrees
Space group C2/m (No. 12)
Symmetry-distinct sites (fractional):
Ac 0.000 0.000 0.000 (multiplicity 2)
Ac 0.077 0.500 0.279 (multiplicity 4)
Ac 0.138 0.000 0.556 (multiplicity 4)
Ac 0.207 0.500 0.852 (multiplicity 4)
Sn 0.078 0.000 0.794 (multiplicity 4)
Sn 0.220 0.000 0.345 (multiplicity 4)
F 0.000 0.500 0.000 (multiplicity 2)

=====

Simulated XRD peak list
Compound: Ac2LaUSe6
Radiation: CuKα
Structure: a structure optimized by DFT (GGA-PBE)
No peak broadening, texture or thermal motion is included.

Peak list (10 most intense, 10° ≤ 2θ ≤ 80°, most intense first)
2.530 Å, I 100, hkl 1 1 1; 4.017 Å, I 96, hkl 1 0 -2; 3.858 Å, I 78, hkl 1 1 -1; 2.783 Å, I 68, hkl 0 2 -2; 2.257 Å, I 62, hkl 2 -3 1; 3.344 Å, I 54, hkl -2 1 2; 2.227 Å, I 50, hkl 3 0 -2; 5.565 Å, I 46, hkl -1 1 1; 1.926 Å, I 27, hkl 0 1 3; 2.229 Å, I 25, hkl 0 3 -1

Structure:
Cell lengths 7.711, 7.715, 8.045 Å; angles 90.09, 118.62, 119.90 degrees
Space group P1 (No. 1)
Symmetry-distinct sites (fractional):
Ac 0.000 0.000 0.000 (multiplicity 1)
Ac 0.004 0.501 0.508 (multiplicity 1)
La 0.585 0.794 0.378 (multiplicity 1)
U 0.591 0.297 0.888 (multiplicity 1)
Se 0.082 0.671 0.173 (multiplicity 1)
Se 0.097 0.923 0.676 (multiplicity 1)
Se 0.502 0.411 0.174 (multiplicity 1)
Se 0.502 0.580 0.676 (multiplicity 1)
Se 0.752 0.173 0.677 (multiplicity 1)
Se 0.762 0.092 0.174 (multiplicity 1)